# 1
For BaNdCu2Se4, a crystal structure in Alexandria, relaxed with PBE gives the theoretical powder diffraction line list in this record (Cu Kα, 1.54184 Å).
Peak positions follow from Bragg's law for the DFT cell and can differ from measured ones.

Principal peaks in the range 2θ = 10–90°, sorted by position:
- 27.48 deg, intensity 100
- 32.93 deg, intensity 59
- 36.05 deg, intensity 66
- 45.92 deg, intensity 54
- 51.90 deg, intensity 21
- 56.72 deg, intensity 26

Crystal structure
```
BaNdCu2Se4
1.0
7.047 0.000 0.000
0.000 7.047 0.000
0.000 0.000 8.557
Ba Nd Cu Se
2 2 4 8
Cartesian
0.000 0.000 0.000 Ba
3.523 3.523 4.278 Ba
0.000 0.000 4.278 Nd
3.523 3.523 0.000 Nd
0.000 3.523 2.139 Cu
0.000 3.523 6.418 Cu
3.523 0.000 2.139 Cu
3.523 0.000 6.418 Cu
1.583 1.583 2.418 Se
1.583 5.463 6.139 Se
1.940 1.940 6.696 Se
1.940 5.107 1.860 Se
5.107 1.940 1.860 Se
5.107 5.107 6.696 Se
5.463 1.583 6.139 Se
5.463 5.463 2.418 Se
```

# 2
For CsZnAu, a crystal structure in Alexandria, relaxed with PBE gives the theoretical powder diffraction line list in this record (Cu Kα, 1.54184 Å).
Peak positions follow from Bragg's law for the DFT cell and can differ from measured ones.

Principal peaks in the range 2θ = 10–90°, sorted by position:
- 13.90 deg, intensity 39
- 24.60 deg, intensity 56
- 28.01 deg, intensity 57
- 31.72 deg, intensity 100
- 33.59 deg, intensity 90
- 44.28 deg, intensity 66

Crystal structure
```
CsZnAu
1.0
3.773 0.000 0.000
0.000 3.773 0.000
0.000 0.000 12.744
Cs Zn Au
2 2 2
Cartesian
0.000 0.000 0.000 Cs
1.887 1.887 6.372 Cs
0.000 0.000 3.434 Zn
1.887 1.887 9.806 Zn
0.000 0.000 9.195 Au
1.887 1.887 2.823 Au
```

# 3
For La5Cd24, a crystal structure in Alexandria, relaxed with PBE gives the theoretical powder diffraction line list in this record (Cu Kα, 1.54184 Å).
Peak positions follow from Bragg's law for the DFT cell and can differ from measured ones.

Principal peaks in the range 2θ = 10–90°, sorted by position:
- 33.60 deg, intensity 100
- 37.27 deg, intensity 22
- 39.00 deg, intensity 10
- 40.66 deg, intensity 10
- 57.60 deg, intensity 10
- 60.09 deg, intensity 27

Crystal structure
```
La5Cd24
1.0
-5.657 5.657 5.657
5.657 -5.657 5.657
5.657 5.657 -5.657
La Cd
5 24
Cartesian
0.000 0.000 0.000 La
2.192 2.192 -2.192 La
2.192 -2.192 2.192 La
-2.192 2.192 2.192 La
3.465 3.465 3.465 La
5.385 1.636 -1.636 Cd
5.385 -1.636 1.636 Cd
8.138 1.000 -1.000 Cd
8.138 -1.000 1.000 Cd
3.176 1.000 1.000 Cd
4.657 4.657 -2.481 Cd
4.657 -2.481 4.657 Cd
5.930 1.636 1.636 Cd
1.636 5.385 -1.636 Cd
1.636 -1.636 5.385 Cd
1.000 3.176 1.000 Cd
1.000 1.000 3.176 Cd
4.021 4.021 0.273 Cd
4.021 0.273 4.021 Cd
-1.636 5.385 1.636 Cd
-1.636 1.636 5.385 Cd
1.000 8.138 -1.000 Cd
1.000 -1.000 8.138 Cd
1.636 5.930 1.636 Cd
1.636 1.636 5.930 Cd
0.273 4.021 4.021 Cd
-1.000 8.138 1.000 Cd
-1.000 1.000 8.138 Cd
-2.481 4.657 4.657 Cd
```

# 4
For Y3SiSb, a crystal structure in Alexandria, relaxed with PBE gives the theoretical powder diffraction line list in this record (Cu Kα, 1.54184 Å).
Peak positions follow from Bragg's law for the DFT cell and can differ from measured ones.

Principal peaks in the range 2θ = 10–90°, sorted by position:
- 27.80 deg, intensity 100
- 28.62 deg, intensity 25
- 33.43 deg, intensity 21
- 36.22 deg, intensity 50
- 42.98 deg, intensity 35
- 47.39 deg, intensity 20

Crystal structure
```
Y3SiSb
1.0
7.287 0.000 0.000
3.638 6.316 0.000
3.639 2.106 6.768
Y Si Sb
6 2 2
Cartesian
2.249 2.447 1.730 Y
4.470 2.124 5.037 Y
5.865 3.886 1.730 Y
8.699 4.536 5.038 Y
10.094 6.299 1.730 Y
12.315 5.976 5.038 Y
7.280 6.318 6.763 Si
7.284 2.104 0.004 Si
7.279 6.318 2.883 Sb
7.285 2.105 3.885 Sb
```